Entry 1:
For K2ZnP4H8O15, DFT lattice parameters and positions (PBE) gives the computed powder diffraction line list in this record (Cu Kα (λ = 1.5418 Å)).
Intensities are scaled so that the largest is 100.

Top 8 peaks for 2θ from 10° to 90°, low angle first:
12.24°, I = 98; 13.61°, I = 36; 19.72°, I = 32; 20.03°, I = 38; 27.83°, I = 29; 29.44°, I = 48; 30.57°, I = 38; 31.19°, I = 100

Structural model:
a b c (Å): 7.6357 7.6357 6.7009
angles (deg): 98.34 98.34 105.25
Element x y z (fractional)
1 K 0.2080 0.2080 0.0861
2 K 0.7920 0.7920 0.9139
3 Zn 0.0000 0.0000 0.5000
4 P 0.2362 0.7535 0.3307
5 P 0.2465 0.7638 0.6693
6 P 0.7535 0.2362 0.3307
7 P 0.7638 0.2465 0.6693
8 H 0.0087 0.4964 0.2423
9 H 0.2288 0.3614 0.6092
10 H 0.3614 0.2288 0.6092
11 H 0.4964 0.0087 0.2423
12 H 0.5036 0.9913 0.7577
13 H 0.6386 0.7712 0.3908
14 H 0.7712 0.6386 0.3908
15 H 0.9913 0.5036 0.7577
16 O 0.1098 0.8704 0.2677
17 O 0.1296 0.8902 0.7323
18 O 0.1440 0.5426 0.2234
19 O 0.1874 0.5683 0.7123
20 O 0.2401 0.2401 0.5442
21 O 0.4317 0.8126 0.2877
22 O 0.4574 0.8560 0.7766
23 O 0.5000 0.5000 0.0000
24 O 0.5426 0.1440 0.2234
25 O 0.5683 0.1874 0.7123
26 O 0.7599 0.7599 0.4558
27 O 0.8126 0.4317 0.2877
28 O 0.8560 0.4574 0.7766
29 O 0.8704 0.1098 0.2677
30 O 0.8902 0.1296 0.7323

Entry 2:
For KZrP2HO8, DFT lattice parameters and positions (PBE) gives the computed powder diffraction line list in this record (Cu Kα (λ = 1.5418 Å)).
Intensities are scaled so that the largest is 100.

Top 8 peaks for 2θ from 10° to 90°, low angle first:
11.53°, I = 45; 18.98°, I = 34; 20.84°, I = 37; 23.04°, I = 100; 25.33°, I = 16; 27.81°, I = 32; 31.29°, I = 20; 33.46°, I = 21

Structural model:
a b c (Å): 9.3540 5.4197 16.8485
angles (deg): 90.00 114.32 90.00
Element x y z (fractional)
1 K 0.0000 0.0386 0.2500
2 K 0.0000 0.9614 0.7500
3 K 0.5000 0.0566 0.7500
4 K 0.5000 0.9434 0.2500
5 Zr 0.2524 0.2223 0.4989
6 Zr 0.2524 0.7777 0.9989
7 Zr 0.7476 0.2223 0.0011
8 Zr 0.7476 0.7777 0.5011
9 P 0.1643 0.2755 0.1114
10 P 0.1643 0.7245 0.6114
11 P 0.3333 0.2787 0.8853
12 P 0.3333 0.7213 0.3853
13 P 0.6667 0.2787 0.6147
14 P 0.6667 0.7213 0.1147
15 P 0.8357 0.2755 0.3886
16 P 0.8357 0.7245 0.8886
17 H 0.2509 0.4773 0.2428
18 H 0.2509 0.5227 0.7428
19 H 0.7491 0.4773 0.2572
20 H 0.7491 0.5227 0.7572
21 O 0.0115 0.2371 0.4115
22 O 0.0115 0.7629 0.9115
23 O 0.1948 0.4924 0.5691
24 O 0.1948 0.5076 0.0691
25 O 0.2321 0.0436 0.0872
26 O 0.2321 0.9564 0.5872
27 O 0.2530 0.2949 0.7856
28 O 0.2525 0.3012 0.2135
29 O 0.2525 0.6988 0.7135
30 O 0.2530 0.7051 0.2856
31 O 0.2631 0.0607 0.9173
32 O 0.2631 0.9393 0.4173
33 O 0.3090 0.4795 0.4267
34 O 0.3090 0.5205 0.9267
35 O 0.4886 0.2280 0.5856
36 O 0.4886 0.7720 0.0856
37 O 0.5114 0.2280 0.9144
38 O 0.5114 0.7720 0.4144
39 O 0.6910 0.4795 0.0733
40 O 0.6910 0.5205 0.5733
41 O 0.7369 0.0607 0.5827
42 O 0.7369 0.9393 0.0827
43 O 0.7470 0.2949 0.7144
44 O 0.7475 0.3012 0.2865
45 O 0.7475 0.6988 0.7865
46 O 0.7470 0.7051 0.2144
47 O 0.7679 0.0436 0.4128
48 O 0.7679 0.9564 0.9128
49 O 0.8052 0.4924 0.9309
50 O 0.8052 0.5076 0.4309
51 O 0.9885 0.2371 0.0885
52 O 0.9885 0.7629 0.5885

Repeat the first record exactly.
For K2ZnP4H8O15, DFT lattice parameters and positions (PBE) gives the computed powder diffraction line list in this record (Cu Kα (λ = 1.5418 Å)).
Intensities are scaled so that the largest is 100.

Top 8 peaks for 2θ from 10° to 90°, low angle first:
12.24°, I = 98; 13.61°, I = 36; 19.72°, I = 32; 20.03°, I = 38; 27.83°, I = 29; 29.44°, I = 48; 30.57°, I = 38; 31.19°, I = 100

Structural model:
a b c (Å): 7.6357 7.6357 6.7009
angles (deg): 98.34 98.34 105.25
Element x y z (fractional)
1 K 0.2080 0.2080 0.0861
2 K 0.7920 0.7920 0.9139
3 Zn 0.0000 0.0000 0.5000
4 P 0.2362 0.7535 0.3307
5 P 0.2465 0.7638 0.6693
6 P 0.7535 0.2362 0.3307
7 P 0.7638 0.2465 0.6693
8 H 0.0087 0.4964 0.2423
9 H 0.2288 0.3614 0.6092
10 H 0.3614 0.2288 0.6092
11 H 0.4964 0.0087 0.2423
12 H 0.5036 0.9913 0.7577
13 H 0.6386 0.7712 0.3908
14 H 0.7712 0.6386 0.3908
15 H 0.9913 0.5036 0.7577
16 O 0.1098 0.8704 0.2677
17 O 0.1296 0.8902 0.7323
18 O 0.1440 0.5426 0.2234
19 O 0.1874 0.5683 0.7123
20 O 0.2401 0.2401 0.5442
21 O 0.4317 0.8126 0.2877
22 O 0.4574 0.8560 0.7766
23 O 0.5000 0.5000 0.0000
24 O 0.5426 0.1440 0.2234
25 O 0.5683 0.1874 0.7123
26 O 0.7599 0.7599 0.4558
27 O 0.8126 0.4317 0.2877
28 O 0.8560 0.4574 0.7766
29 O 0.8704 0.1098 0.2677
30 O 0.8902 0.1296 0.7323

Please write out number 1 again, unchanged.
For K2ZnP4H8O15, DFT lattice parameters and positions (PBE) gives the computed powder diffraction line list in this record (Cu Kα (λ = 1.5418 Å)).
Intensities are scaled so that the largest is 100.

Top 8 peaks for 2θ from 10° to 90°, low angle first:
12.24°, I = 98; 13.61°, I = 36; 19.72°, I = 32; 20.03°, I = 38; 27.83°, I = 29; 29.44°, I = 48; 30.57°, I = 38; 31.19°, I = 100

Structural model:
a b c (Å): 7.6357 7.6357 6.7009
angles (deg): 98.34 98.34 105.25
Element x y z (fractional)
1 K 0.2080 0.2080 0.0861
2 K 0.7920 0.7920 0.9139
3 Zn 0.0000 0.0000 0.5000
4 P 0.2362 0.7535 0.3307
5 P 0.2465 0.7638 0.6693
6 P 0.7535 0.2362 0.3307
7 P 0.7638 0.2465 0.6693
8 H 0.0087 0.4964 0.2423
9 H 0.2288 0.3614 0.6092
10 H 0.3614 0.2288 0.6092
11 H 0.4964 0.0087 0.2423
12 H 0.5036 0.9913 0.7577
13 H 0.6386 0.7712 0.3908
14 H 0.7712 0.6386 0.3908
15 H 0.9913 0.5036 0.7577
16 O 0.1098 0.8704 0.2677
17 O 0.1296 0.8902 0.7323
18 O 0.1440 0.5426 0.2234
19 O 0.1874 0.5683 0.7123
20 O 0.2401 0.2401 0.5442
21 O 0.4317 0.8126 0.2877
22 O 0.4574 0.8560 0.7766
23 O 0.5000 0.5000 0.0000
24 O 0.5426 0.1440 0.2234
25 O 0.5683 0.1874 0.7123
26 O 0.7599 0.7599 0.4558
27 O 0.8126 0.4317 0.2877
28 O 0.8560 0.4574 0.7766
29 O 0.8704 0.1098 0.2677
30 O 0.8902 0.1296 0.7323